This entry pairs a crystal structure of CrMo2HPd with its calculated powder diffraction line list. Radiation: Cu Ka. Structure: a crystal structure in Alexandria, relaxed with GGA-PBE.
Lines closer than 0.1° are merged.

Largest 6 diffraction maxima, in order of rising 2θ, 5° ≤ 2θ ≤ 70°:
2θ/deg	I/Imax	(hkl)
22.5	47	1 0 0
39.7	1000	1 1 1
45.9	329	2 0 0
46.7	156	0 0 2
67.0	102	2 2 0
67.6	198	2 0 2

Structural model:
Unit cell a=3.952 b=3.952 c=3.891 alpha=90.00 beta=90.00 gamma=90.00
Sites, in units of the cell vectors:
Cr (0.000, 0.000, 0.000)
Mo (0.000, 0.500, 0.500)
Mo (0.500, 0.000, 0.500)
H (0.000, 0.000, 0.500)
Pd (0.500, 0.500, 0.000)